Calculated powder diffractogram of Gd4Zn5 for Cu Kα, from a DFT-relaxed cell (GGA-PBE, OQMD).
No peak broadening, texture or thermal motion is included.

Top 10 peaks for 10 to 90 degrees two-theta, most intense first:
d (Å)	2theta	I (rel.)	index
2.611	34.3	100	3 0 1
2.451	36.7	35	3 3 0
1.444	64.5	17	6 3 1
1.543	60.0	17	3 3 2
1.843	49.5	16	4 3 1
3.020	29.6	14	2 1 1
1.985	45.7	13	0 0 2
2.600	34.5	13	4 0 0
3.677	24.2	11	2 2 0
1.236	77.1	9	3 0 3

Atomic structure:
Unit cell a=10.4006 b=10.4006 c=3.9703 alpha=90.00 beta=90.00 gamma=90.00
Space group I4/mmm (No. 139)
Asymmetric unit:
Gd  0.0000  0.3030  0.0000 x8
Zn  0.0000  0.0000  0.0000 x2
Zn  0.1887  0.1887  0.5000 x8